Simulated PXRD pattern of RbNa2TcCl8 for Cu Kα, 1.54184 Å, from the GGA-PBE geometry in Alexandria.

Structure:
```
data_RbNa2TcCl8
_chemical_formula_sum 'Rb1 Na2 Tc1 Cl8'
_space_group_name_H-M_alt 'P -1'
_space_group_IT_number 2
_space_group_name_Hall '-P 1'
_cell_length_a 5.885
_cell_length_b 6.391
_cell_length_c 9.183
_cell_angle_alpha 90.04
_cell_angle_beta 90.18
_cell_angle_gamma 92.93
loop_
_atom_site_label
_atom_site_type_symbol
_atom_site_fract_x
_atom_site_fract_y
_atom_site_fract_z
_atom_site_occupancy
Rb1 Rb 0.000 0.000 0.000 1
Na1 Na 0.499 0.500 0.733 1
Tc1 Tc 0.000 0.000 0.500 1
Cl1 Cl 0.229 0.861 0.316 1
Cl2 Cl 0.231 0.316 0.499 1
Cl3 Cl 0.231 0.863 0.684 1
Cl4 Cl 0.251 0.491 0.000 1
```

Top 8 peaks for 2θ from 10° to 90°, sorted by position:
two_theta  d (Å)  I_rel  (hkl)
13.9  6.383  43  0 1 0
15.1  5.877  59  1 0 0
19.3  4.591  43  0 0 2
20.0  4.438  46  1 -1 0
21.1  4.217  81  1 1 0
24.6  3.618  72  1 0 2
28.0  3.191  100  1 -1 2
38.4  2.342  73  2 -1 2